Starting from a structure optimized by DFT (GGA+U), the XRD peak list of Li3VS3O12 was calculated for copper Kα.

Top 10 peaks for 10 to 80 degrees two-theta, sorted by position:
two_theta  I_rel
12.79  100
17.62  19
20.53  11
21.83  82
24.26  22
27.52  75
28.51  37
33.15  14
36.75  11
49.71  10

Cell and atoms:
```
Li3VS3O12
1.0
6.922 3.997 3.092
-6.922 3.997 3.092
0.000 -7.993 3.092
Li V S O
6 2 6 24
Cartesian
-4.739 -0.460 4.004
-1.971 -4.334 5.271
2.767 -3.874 4.004
-2.767 3.874 5.271
1.971 4.334 4.004
4.739 0.460 5.271
0.000 0.000 0.000
0.000 0.000 4.638
-2.350 0.495 2.439
0.747 -2.283 2.439
1.603 1.788 2.439
-1.603 -1.788 6.836
-0.747 2.283 6.836
2.350 -0.495 6.836
-1.712 0.273 1.106
-3.189 -3.931 3.805
0.619 -1.619 1.106
-0.474 -3.006 2.792
-2.367 1.913 2.792
-1.631 -0.320 3.473
1.093 1.346 1.106
-4.999 0.796 5.471
1.092 -1.252 3.473
-2.840 -1.093 6.483
-1.810 4.728 3.805
0.538 1.572 3.473
-0.538 -1.572 5.802
1.810 -4.728 5.471
2.840 1.093 2.792
-1.092 1.252 5.802
4.999 -0.796 3.805
-1.093 -1.346 8.170
1.631 0.320 5.802
2.367 -1.913 6.483
0.474 3.006 6.483
-0.619 1.619 8.170
3.189 3.931 5.471
1.712 -0.273 8.170
```